This entry pairs a crystal structure of La6Cd2CoAu with its simulated powder X-ray diffraction pattern. Radiation: Cu Kα (weighted mean of Kα1 and Kα2). Structure: DFT lattice parameters and positions (GGA-PBE).
Peak positions follow from Bragg's law for the DFT cell and can differ from measured ones.

a b c (Å): 7.3085 7.3487 7.3886
angles (deg): 68.92 66.37 68.85
Space group P-1 (No. 2)
Asymmetric unit:
La: 0.1408 0.2724 0.3417 x2
La: 0.2174 0.1650 0.8657 x2
La: 0.3377 0.6339 0.7736 x2
Cd: 0.2629 0.7585 0.2463 x2
Co: 0.0000 0.5000 0.0000 x1
Au: 0.5000 0.0000 0.5000 x1

Largest 12 diffraction maxima, in order of falling intensity, 10 to 90 degrees two-theta:
- 2θ = 26.91°, 3.313 Å, intensity 100, hkl 1 2 0
- 2θ = 33.24°, 2.695 Å, intensity 84, hkl 0 2 2
- 2θ = 27.17°, 3.282 Å, intensity 80, hkl 0 1 2
- 2θ = 32.25°, 2.775 Å, intensity 68, hkl 2 0 2
- 2θ = 33.42°, 2.682 Å, intensity 57, hkl 2 2 0
- 2θ = 26.64°, 3.347 Å, intensity 52, hkl 2 0 1
- 2θ = 31.92°, 2.804 Å, intensity 48, hkl 2 2 2
- 2θ = 38.25°, 2.353 Å, intensity 48, hkl 1 1 -2
- 2θ = 37.08°, 2.424 Å, intensity 43, hkl 1 -2 1
- 2θ = 38.48°, 2.339 Å, intensity 37, hkl -2 1 1
- 2θ = 50.57°, 1.805 Å, intensity 35, hkl 4 2 2
- 2θ = 33.73°, 2.657 Å, intensity 30, hkl 2 -1 0